(1)
Diffraction record for Fe2Te2Pb3O12. The X-ray diffraction stick pattern is calculated, not measured: it uses a structure optimized by DFT (PBE+U) and Cu Kα (weighted mean of Kα1 and Kα2).
Intensities are scaled so that the largest is 100.

Cell and atoms:
Cell lengths 9.2898, 9.2898, 7.3190 Å; angles 101.41, 101.41, 114.57 degrees
Atoms (fractional coordinates):
Fe: 0.0037 0.9963 0.5000
Fe: 0.3311 0.6540 0.9605
Fe: 0.6540 0.3311 0.4605
Fe: 0.9963 0.0037 0.0000
Te: 0.0461 0.7206 0.7580
Te: 0.3767 0.3853 0.2279
Te: 0.3853 0.3767 0.7279
Te: 0.7206 0.0461 0.2580
Pb: 0.0668 0.4489 0.3843
Pb: 0.2769 0.9252 0.3089
Pb: 0.4489 0.0668 0.8843
Pb: 0.6456 0.7773 0.6153
Pb: 0.7773 0.6456 0.1153
Pb: 0.9252 0.2769 0.8089
O: 0.0049 0.7816 0.5211
O: 0.0269 0.9264 0.2311
O: 0.1140 0.6546 0.9901
O: 0.1391 0.2516 0.1120
O: 0.1827 0.9535 0.9303
O: 0.2026 0.4117 0.7805
O: 0.2465 0.7176 0.7119
O: 0.2516 0.1391 0.6120
O: 0.3346 0.4396 0.4870
O: 0.3651 0.5820 0.2028
O: 0.4117 0.2026 0.2805
O: 0.4396 0.3346 0.9870
O: 0.4816 0.9023 0.1054
O: 0.5161 0.6157 0.8756
O: 0.5820 0.3651 0.7028
O: 0.6157 0.5161 0.3756
O: 0.6546 0.1140 0.4901
O: 0.7176 0.2465 0.2119
O: 0.7416 0.8615 0.3307
O: 0.7816 0.0049 0.0211
O: 0.8615 0.7416 0.8307
O: 0.9023 0.4816 0.6054
O: 0.9264 0.0269 0.7311
O: 0.9535 0.1827 0.4303

Peak list (10 most intense, 2θ = 10–90°, most intense first)
29.2 deg, I = 100; 29.8 deg, I = 98; 28.6 deg, I = 91; 27.4 deg, I = 86; 19.5 deg, I = 63; 29.6 deg, I = 51; 31.5 deg, I = 42; 30.1 deg, I = 39; 52.1 deg, I = 31; 33.5 deg, I = 30

=====

(2)
Diffraction record for Eu2NiO4. The X-ray diffraction stick pattern is calculated, not measured: it uses a structure optimized by DFT (PBE+U) and Cu Kα (weighted mean of Kα1 and Kα2).
Intensities are scaled so that the largest is 100.

Cell and atoms:
Cell lengths 6.6793, 6.6793, 5.3970 Å; angles 90.00, 90.00, 132.45 degrees
Atoms (fractional coordinates):
Eu: 0.1401 0.8599 0.9922
Eu: 0.3599 0.6401 0.4922
Eu: 0.6401 0.3599 0.5078
Eu: 0.8599 0.1401 0.0078
Ni: 0.0000 0.0000 0.5000
Ni: 0.5000 0.5000 0.0000
O: 0.1727 0.8273 0.5206
O: 0.2443 0.2557 0.7500
O: 0.2557 0.2443 0.2500
O: 0.3273 0.6727 0.0206
O: 0.6727 0.3273 0.9794
O: 0.7443 0.7557 0.7500
O: 0.7557 0.7443 0.2500
O: 0.8273 0.1727 0.4794

Peak list (10 most intense, 2θ = 10–90°, most intense first)
32.2 deg, I = 100; 33.2 deg, I = 70; 58.7 deg, I = 37; 47.7 deg, I = 34; 44.8 deg, I = 30; 24.5 deg, I = 27; 44.0 deg, I = 15; 29.2 deg, I = 14; 56.6 deg, I = 11; 58.1 deg, I = 11

=====

(3)
Diffraction record for Ga2NiO4. The X-ray diffraction stick pattern is calculated, not measured: it uses a structure optimized by DFT (PBE+U) and Cu Kα (weighted mean of Kα1 and Kα2).
Intensities are scaled so that the largest is 100.

Cell and atoms:
Cell lengths 5.9827, 5.9827, 10.5139 Å; angles 108.44, 108.44, 58.99 degrees
Atoms (fractional coordinates):
Ga: 0.0000 0.0000 0.0000
Ga: 0.0000 0.5000 0.0000
Ga: 0.0000 0.5000 0.5000
Ga: 0.2497 0.2497 0.2493
Ga: 0.5000 0.0000 0.0000
Ga: 0.5000 0.0000 0.5000
Ga: 0.5000 0.5000 0.5000
Ga: 0.7503 0.7503 0.7507
Ni: 0.0631 0.0631 0.6886
Ni: 0.4348 0.4348 0.8105
Ni: 0.5652 0.5652 0.1895
Ni: 0.9369 0.9369 0.3114
O: 0.0996 0.6360 0.8839
O: 0.1250 0.1250 0.8915
O: 0.1318 0.6000 0.3828
O: 0.1415 0.1415 0.3737
O: 0.3588 0.3588 0.1227
O: 0.3640 0.9004 0.1161
O: 0.3742 0.3742 0.6053
O: 0.4000 0.8682 0.6172
O: 0.6000 0.1318 0.3828
O: 0.6258 0.6258 0.3947
O: 0.6360 0.0996 0.8839
O: 0.6412 0.6412 0.8773
O: 0.8585 0.8585 0.6263
O: 0.8682 0.4000 0.6172
O: 0.8750 0.8750 0.1085
O: 0.9004 0.3640 0.1161

Peak list (10 most intense, 2θ = 10–90°, most intense first)
35.7 deg, I = 100; 35.5 deg, I = 100; 34.7 deg, I = 48; 61.6 deg, I = 45; 62.1 deg, I = 44; 43.4 deg, I = 41; 18.2 deg, I = 34; 57.3 deg, I = 29; 57.4 deg, I = 28; 29.7 deg, I = 26